KAg9Pd3: theoretical powder X-ray diffraction pattern (Cu Ka), based on the GGA-PBE geometry in Alexandria.

Peak list (6 most intense, 2θ = 10–80°, low angle first)
- 2θ = 37.60°, intensity 91, (2 2 -2)
- 2θ = 37.87°, intensity 100, (0 4 2)
- 2θ = 42.11°, intensity 97, (2 0 1)
- 2θ = 42.35°, intensity 47, (0 6 1)
- 2θ = 42.46°, intensity 58, (2 0 -3)
- 2θ = 42.72°, intensity 47, (0 2 3)

```
data_KAg9Pd3
_cell_length_a 5.561
_cell_length_b 13.507
_cell_length_c 7.217
_cell_angle_alpha 90.00
_cell_angle_beta 112.20
_cell_angle_gamma 90.00
_space_group_name_H-M_alt 'C 1 2/m 1'
_space_group_IT_number 12
loop_
_space_group_symop_operation_xyz
'x,y,z'
'-x,-y,-z'
'-x,y,-z'
'x,-y,z'
'x+1/2,y+1/2,z'
'-x+1/2,-y+1/2,-z'
'-x+1/2,y+1/2,-z'
'x+1/2,-y+1/2,z'
loop_
_atom_site_label
_atom_site_type_symbol
_atom_site_fract_x
_atom_site_fract_y
_atom_site_fract_z
_atom_site_occupancy
K1 K 0.000 0.000 0.000 1
Ag1 Ag 0.000 0.500 0.500 1
Ag2 Ag 0.114 0.387 0.223 1
Ag3 Ag 0.165 0.176 0.348 1
Pd1 Pd 0.000 0.000 0.500 1
Pd2 Pd 0.250 0.250 0.000 1
```